Computed XRD peak list
Compound: TbTa4Ge2
Radiation: Cu Kα X-rays
Structure: a crystal structure in Alexandria, relaxed with GGA-PBE

Atomic structure:
a = 3.702 Å, b = 16.923 Å, c = 4.325 Å
α = 90.00°, β = 90.00°, γ = 90.00°
Fractional coordinates of all 14 atoms:
Tb  0.000  0.000  0.000
Tb  0.500  0.500  0.000
Ta  0.000  0.184  0.500
Ta  0.000  0.321  0.000
Ta  0.000  0.679  0.000
Ta  0.000  0.816  0.500
Ta  0.500  0.179  0.000
Ta  0.500  0.316  0.500
Ta  0.500  0.684  0.500
Ta  0.500  0.821  0.000
Ge  0.000  0.427  0.500
Ge  0.000  0.573  0.500
Ge  0.500  0.073  0.500
Ge  0.500  0.927  0.500

Main lines, by angle (2θ from 10° to 90°):
Position (°2θ)  I_rel  h k l
10.45  26  0 2 0
31.73  17  0 6 0
35.67  100  1 3 1
41.76  47  0 0 2
49.23  14  2 0 0
72.30  13  1 3 3